Simulated XRD peak list of Fe2CuP2O10 for a wavelength of 1.5418 Å, from a cell relaxed with GGA+U.
Kinematic intensities with the Lorentz-polarization factor, no thermal factor.

Peak list (10 most intense, 2θ = 15–90°, in order of rising 2θ)
2θ = 17.68°, rel. 18, (0 1 1); 2θ = 18.21°, rel. 40, (1 1 0); 2θ = 26.01°, rel. 21, (0 2 1); 2θ = 26.97°, rel. 100, (1 1 -2); 2θ = 28.04°, rel. 25, (0 0 2); 2θ = 33.18°, rel. 13, (1 2 -2); 2θ = 36.31°, rel. 14, (1 3 0); 2θ = 36.95°, rel. 14, (2 2 0); 2θ = 41.62°, rel. 19, (1 3 1); 2θ = 55.49°, rel. 16, (2 2 2)

Cell and atoms:
abc: 6.909 8.126 7.236
angles: 90.00 118.25 90.00
Atoms (fractional coordinates):
Fe (0.242, 0.223, 0.022)
Fe (0.242, 0.277, 0.522)
Fe (0.758, 0.723, 0.478)
Fe (0.758, 0.777, 0.978)
Cu (0.500, 0.000, 0.500)
Cu (0.500, 0.500, 0.000)
P (0.242, 0.593, 0.244)
P (0.242, 0.907, 0.744)
P (0.758, 0.093, 0.256)
P (0.758, 0.407, 0.756)
O (0.058, 0.696, 0.075)
O (0.058, 0.804, 0.575)
O (0.159, 0.016, 0.866)
O (0.159, 0.484, 0.366)
O (0.289, 0.137, 0.300)
O (0.289, 0.363, 0.800)
O (0.342, 0.036, 0.646)
O (0.342, 0.464, 0.146)
O (0.432, 0.707, 0.386)
O (0.432, 0.793, 0.886)
O (0.568, 0.207, 0.114)
O (0.568, 0.293, 0.614)
O (0.658, 0.536, 0.854)
O (0.658, 0.964, 0.354)
O (0.711, 0.637, 0.200)
O (0.711, 0.863, 0.700)
O (0.841, 0.516, 0.634)
O (0.841, 0.984, 0.134)
O (0.942, 0.196, 0.425)
O (0.942, 0.304, 0.925)